Computed powder diffraction line list of V2SO5 for Cu Kα, from a structure optimized by DFT (PBE+U).
Kinematic intensities with the Lorentz-polarization factor, no thermal factor.

Largest 10 diffraction maxima, by intensity, 15° ≤ 2θ ≤ 90°:
two_theta, Rel. int.
26.63, 100.0
26.47, 46.4
54.51, 34.4
36.21, 34.4
41.80, 31.5
54.85, 25.1
53.31, 19.7
34.82, 16.4
45.32, 16.1
66.02, 14.4

Structure:
```
V2SO5
1.0
-2.8300 2.8300 6.2276
2.8300 -2.8300 6.2276
2.8300 2.8300 -6.2276
V S O
4 2 10
Direct
0.0000 0.0000 0.0000
0.0000 0.0000 0.5000
0.0000 0.5000 0.0000
0.5000 0.0000 0.5000
0.3750 0.6250 0.7500
0.6250 0.3750 0.2500
0.1250 0.8750 0.2500
0.2241 0.6921 0.5320
0.3079 0.3398 0.5320
0.3079 0.7759 0.9680
0.3398 0.3079 0.0320
0.6602 0.6921 0.9680
0.6921 0.2241 0.0320
0.6921 0.6602 0.4680
0.7759 0.3079 0.4680
0.8750 0.1250 0.7500
```